No. 1
This entry pairs a crystal structure of NdCd3Pt with its computed powder XRD pattern. Radiation: Cu Kα, 1.54184 Å. Structure: the GGA-PBE geometry in Alexandria.
Peak positions follow from Bragg's law for the DFT cell and can differ from measured ones.

Most intense lines, 2θ = 10–90°, by angle:
Position (°2θ), d/Å, I_rel
34.68, 2.587, 64.4
35.26, 2.545, 100.0
35.44, 2.533, 75.4
38.04, 2.366, 97.5
38.74, 2.324, 71.9
39.69, 2.271, 61.5

a b c (Å): 5.5538 5.8465 7.6390
angles (deg): 90.00 111.32 90.00
Element x y z (fractional)
1 Nd 0.2189 0.2500 0.1219
2 Nd 0.7811 0.7500 0.8781
3 Cd 0.2025 0.0054 0.6945
4 Cd 0.2025 0.4946 0.6945
5 Cd 0.3502 0.7500 0.4014
6 Cd 0.6498 0.2500 0.5986
7 Cd 0.7975 0.5054 0.3055
8 Cd 0.7975 0.9946 0.3055
9 Pt 0.3444 0.7500 0.0340
10 Pt 0.6556 0.2500 0.9660

No. 2
This entry pairs a crystal structure of NaGeAs2 with its computed powder XRD pattern. Radiation: Cu Kα, 1.54184 Å. Structure: the GGA-PBE geometry in Alexandria.
Peak positions follow from Bragg's law for the DFT cell and can differ from measured ones.

Most intense lines, 2θ = 10–90°, by angle:
Position (°2θ), d/Å, I_rel
14.86, 5.963, 70.1
18.75, 4.732, 55.3
23.19, 3.836, 57.9
28.12, 3.173, 76.1
28.79, 3.101, 99.6
36.59, 2.456, 100.0

a b c (Å): 8.2106 8.6759 5.6465
angles (deg): 90.00 90.00 90.00
Element x y z (fractional)
1 Na 0.0802 0.0986 0.0000
2 Na 0.4198 0.5986 0.5000
3 Na 0.5802 0.4014 0.0000
4 Na 0.9198 0.9014 0.5000
5 Ge 0.0468 0.3325 0.4296
6 Ge 0.4532 0.8325 0.9296
7 Ge 0.5468 0.1675 0.4296
8 Ge 0.9532 0.6675 0.9296
9 As 0.1695 0.4946 0.0860
10 As 0.2338 0.8336 0.2405
11 As 0.2662 0.3336 0.7405
12 As 0.3305 0.9946 0.5860
13 As 0.6695 0.0054 0.0860
14 As 0.7338 0.6664 0.2405
15 As 0.7662 0.1664 0.7405
16 As 0.8305 0.5054 0.5860

No. 3
This entry pairs a crystal structure of RbSiPb2O4 with its computed powder XRD pattern. Radiation: Cu Kα, 1.54184 Å. Structure: the GGA-PBE geometry in Alexandria.
Peak positions follow from Bragg's law for the DFT cell and can differ from measured ones.

Most intense lines, 2θ = 10–90°, by angle:
Position (°2θ), d/Å, I_rel
18.09, 4.904, 41.2
26.95, 3.308, 100.0
31.99, 2.798, 87.3
33.03, 2.712, 58.4
50.16, 1.819, 38.0
52.31, 1.749, 35.0

a b c (Å): 6.6426 5.9706 5.6287
angles (deg): 69.80 57.52 52.68
Element x y z (fractional)
1 Rb 0.0000 0.0000 0.0000
2 Si 0.5796 0.5796 0.4204
3 Pb 0.2787 0.2787 0.2213
4 Pb 0.7787 0.7787 0.7213
5 O 0.3344 0.6488 0.3512
6 O 0.4843 0.8804 0.5157
7 O 0.6488 0.3344 0.6656
8 O 0.8804 0.4843 0.1196

No. 4
This entry pairs a crystal structure of AcPdAu4 with its computed powder XRD pattern. Radiation: Cu Kα, 1.54184 Å. Structure: the GGA-PBE geometry in Alexandria.
Peak positions follow from Bragg's law for the DFT cell and can differ from measured ones.

Most intense lines, 2θ = 10–90°, by angle:
Position (°2θ), d/Å, I_rel
31.76, 2.817, 20.8
37.43, 2.403, 100.0
39.16, 2.300, 47.2
60.36, 1.534, 33.9
66.36, 1.409, 29.9
79.84, 1.201, 18.7

a b c (Å): 5.6345 5.6345 5.6345
angles (deg): 60.00 60.00 60.00
Element x y z (fractional)
1 Ac 0.0000 0.0000 0.0000
2 Pd 0.2500 0.2500 0.2500
3 Au 0.1275 0.6242 0.6242
4 Au 0.6242 0.1275 0.6242
5 Au 0.6242 0.6242 0.1275
6 Au 0.6242 0.6242 0.6242